1.
For TeP3, DFT lattice parameters and positions (GGA-PBE) gives the calculated PXRD pattern in this record (Cu Kα, 1.54184 Å).
Kinematic intensities with the Lorentz-polarization factor, no thermal factor.

Cell lengths 5.005, 5.026, 7.764 Å; angles 90.00, 90.00, 90.00 degrees
Space group Pmmn (No. 59, origin choice 2)
Unique sites:
Te 0.250 0.250 0.131
P 0.250 0.528 0.509
P 0.250 0.750 0.759

Peak list (10 most intense, 5° ≤ 2θ ≤ 70°, in order of rising 2θ)
d_spacing	I (rel.)
4.217	100
3.546	23
3.226	48
3.070	78
2.588	20
2.503	32
2.391	25
2.153	33
1.942	38
1.703	22

2.
For LaMg11, DFT lattice parameters and positions (GGA-PBE) gives the calculated PXRD pattern in this record (Cu Kα, 1.54184 Å).
Kinematic intensities with the Lorentz-polarization factor, no thermal factor.

Cell lengths 12.212, 12.212, 7.935 Å; angles 90.00, 90.00, 90.00 degrees
Space group I4_1/amd (No. 141, origin choice 2)
Unique sites:
La 0.000 0.250 0.375
Mg 0.000 0.000 0.000
Mg 0.000 0.250 0.875
Mg 0.122 0.045 0.676

Peak list (10 most intense, 5° ≤ 2θ ≤ 70°, in order of rising 2θ)
d_spacing	I (rel.)
6.653	24
6.106	17
4.499	33
3.605	29
3.115	42
2.768	100
2.731	52
2.585	24
1.853	24
1.583	26

3.
For FeNi8Ge2, DFT lattice parameters and positions (GGA-PBE) gives the calculated PXRD pattern in this record (Cu Kα, 1.54184 Å).
Kinematic intensities with the Lorentz-polarization factor, no thermal factor.

Cell lengths 3.695, 6.485, 10.877 Å; angles 90.00, 90.00, 90.00 degrees
Space group Immm (No. 71)
Unique sites:
Fe 0.000 0.000 0.000
Ni 0.000 0.214 0.500
Ni 0.000 0.269 0.161
Ni 0.000 0.500 0.350
Ge 0.000 0.000 0.317

Peak list (10 most intense, 5° ≤ 2θ ≤ 70°, in order of rising 2θ)
d_spacing	I (rel.)
5.439	3
3.498	2
2.378	3
2.120	5
2.075	8
2.023	100
1.847	21
1.813	16
1.621	11
1.393	3

4.
For Tl3BiPb5, DFT lattice parameters and positions (GGA-PBE) gives the calculated PXRD pattern in this record (Cu Kα, 1.54184 Å).
Kinematic intensities with the Lorentz-polarization factor, no thermal factor.

Cell lengths 9.547, 9.547, 13.393 Å; angles 90.00, 90.00, 90.00 degrees
Space group I4/mcm (No. 140)
Unique sites:
Tl 0.000 0.000 0.250
Tl 0.110 0.390 0.000
Bi 0.000 0.500 0.250
Pb 0.000 0.000 0.000
Pb 0.202 0.298 0.364

Peak list (10 most intense, 5° ≤ 2θ ≤ 70°, in order of rising 2θ)
d_spacing	I (rel.)
3.376	67
3.086	60
3.018	26
2.752	13
2.741	100
2.598	27
2.282	23
2.249	15
2.056	14
1.801	30

5.
For AcDyEr2Se6, DFT lattice parameters and positions (GGA-PBE) gives the calculated PXRD pattern in this record (Cu Kα, 1.54184 Å).
Kinematic intensities with the Lorentz-polarization factor, no thermal factor.

Cell lengths 7.3524, 7.3524, 19.4171 Å; angles 90.00, 90.00, 120.00 degrees
Space group R3 (No. 146, hexagonal axes)
Unique sites:
Ac 0.0000 0.0000 0.0000
Dy 0.0000 0.0000 0.4860
Er 0.0000 0.0000 0.2866
Er 0.0000 0.0000 0.7937
Se 0.0095 0.3141 0.8844
Se 0.0202 0.6176 0.0516

Peak list (10 most intense, 5° ≤ 2θ ≤ 70°, in order of rising 2θ)
d_spacing	I (rel.)
5.324	44
3.860	84
3.676	64
3.197	57
2.662	60
2.429	100
2.156	51
2.122	71
1.859	36
1.598	23

6.
For Tb2Y5Ho, DFT lattice parameters and positions (GGA-PBE) gives the calculated PXRD pattern in this record (Cu Kα, 1.54184 Å).
Kinematic intensities with the Lorentz-polarization factor, no thermal factor.

Cell lengths 7.129, 14.259, 5.028 Å; angles 90.00, 90.00, 90.00 degrees
Space group Pbam (No. 55)
Unique sites:
Tb 0.249 0.124 0.000
Y 0.000 0.500 0.500
Y 0.001 0.751 0.500
Y 0.250 0.375 0.000
Ho 0.000 0.000 0.500

Peak list (10 most intense, 5° ≤ 2θ ≤ 70°, in order of rising 2θ)
d_spacing	I (rel.)
6.377	2
5.040	4
3.561	4
2.908	100
2.518	50
2.252	2
1.781	35
1.520	28
1.517	14
1.454	12

7.
For AcNd3Tl2, DFT lattice parameters and positions (GGA-PBE) gives the calculated PXRD pattern in this record (Cu Kα, 1.54184 Å).
Kinematic intensities with the Lorentz-polarization factor, no thermal factor.

Cell lengths 3.774, 3.774, 13.803 Å; angles 90.00, 90.00, 90.00 degrees
Space group P4/mmm (No. 123)
Unique sites:
Ac 0.000 0.000 0.000
Nd 0.500 0.500 0.195
Nd 0.500 0.500 0.500
Tl 0.000 0.000 0.345

Peak list (10 most intense, 5° ≤ 2θ ≤ 70°, in order of rising 2θ)
d_spacing	I (rel.)
4.601	3
2.918	100
2.669	43
2.547	5
2.301	10
1.887	16
1.743	17
1.585	36
1.459	9
1.421	5

8.
For AlTlCl4, DFT lattice parameters and positions (GGA-PBE) gives the calculated PXRD pattern in this record (Cu Kα, 1.54184 Å).
Kinematic intensities with the Lorentz-polarization factor, no thermal factor.

Cell lengths 15.048, 6.168, 6.733 Å; angles 90.00, 105.44, 90.00 degrees
Space group C2/c (No. 15)
Unique sites:
Al 0.250 0.250 0.000
Tl 0.000 0.184 0.250
Cl 0.106 0.378 0.937
Cl 0.199 0.057 0.670

Peak list (10 most intense, 5° ≤ 2θ ≤ 70°, in order of rising 2θ)
d_spacing	I (rel.)
7.253	62
4.512	35
4.068	96
3.630	88
3.018	58
2.820	44
2.703	100
2.625	29
2.254	40
2.095	34

9.
For HoUSeN2, DFT lattice parameters and positions (GGA-PBE) gives the calculated PXRD pattern in this record (Cu Kα, 1.54184 Å).
Kinematic intensities with the Lorentz-polarization factor, no thermal factor.

Cell lengths 3.825, 3.825, 12.136 Å; angles 90.00, 90.00, 90.00 degrees
Space group I4mm (No. 107)
Unique sites:
Ho 0.000 0.000 0.000
U 0.000 0.000 0.316
Se 0.000 0.000 0.658
N 0.000 0.500 0.398

Peak list (10 most intense, 5° ≤ 2θ ≤ 70°, in order of rising 2θ)
d_spacing	I (rel.)
6.068	11
3.648	19
2.779	100
2.705	42
2.021	17
1.913	19
1.620	24
1.576	37
1.390	11
1.352	6

10.
For NdSmTc, DFT lattice parameters and positions (GGA-PBE) gives the calculated PXRD pattern in this record (Cu Kα, 1.54184 Å).
Kinematic intensities with the Lorentz-polarization factor, no thermal factor.

Cell lengths 18.362, 4.638, 4.049 Å; angles 90.00, 90.17, 90.00 degrees
Space group C2/m (No. 12)
Unique sites:
Nd 0.085 0.000 0.251
Sm 0.196 0.500 0.750
Tc 0.035 0.500 0.751

Peak list (10 most intense, 5° ≤ 2θ ≤ 70°, in order of rising 2θ)
d_spacing	I (rel.)
3.037	33
3.009	100
2.879	84
2.730	22
2.347	17
2.319	34
2.025	23
1.681	19
1.658	16
1.525	18

11.
For Al2Ga5Ag, DFT lattice parameters and positions (GGA-PBE) gives the calculated PXRD pattern in this record (Cu Kα, 1.54184 Å).
Kinematic intensities with the Lorentz-polarization factor, no thermal factor.

Cell lengths 5.377, 5.434, 5.606 Å; angles 77.37, 72.99, 72.61 degrees
Space group P1 (No. 1)
Unique sites:
Al 0.000 0.000 0.000
Al 0.494 0.912 0.123
Ga 0.015 0.949 0.497
Ga 0.479 0.979 0.628
Ga 0.516 0.419 0.011
Ga 0.978 0.491 0.113
Ga 0.991 0.433 0.619
Ag 0.501 0.497 0.504

Peak list (10 most intense, 5° ≤ 2θ ≤ 70°, in order of rising 2θ)
d_spacing	I (rel.)
5.305	33
5.132	35
2.653	70
2.647	44
2.566	96
2.488	100
2.086	42
2.065	55
1.993	26
1.959	33

12.
For Tb5Er12Zr2, DFT lattice parameters and positions (GGA-PBE) gives the calculated PXRD pattern in this record (Cu Kα, 1.54184 Å).
Kinematic intensities with the Lorentz-polarization factor, no thermal factor.

Cell lengths 17.991, 7.341, 9.412 Å; angles 90.00, 109.32, 90.00 degrees
Space group C2/m (No. 12)
Unique sites:
Tb 0.000 0.000 0.000
Tb 0.188 0.500 0.711
Tb 0.202 0.000 0.713
Er 0.005 0.500 0.185
Er 0.019 0.000 0.691
Er 0.156 0.245 0.377
Er 0.157 0.248 0.005
Zr 0.000 0.324 0.500

Peak list (10 most intense, 5° ≤ 2θ ≤ 70°, in order of rising 2θ)
d_spacing	I (rel.)
3.021	28
2.961	16
2.924	17
2.872	16
2.852	16
2.830	100
2.776	35
2.549	22
1.836	18
1.540	21

13.
For Nb6Ru3N, DFT lattice parameters and positions (GGA-PBE) gives the calculated PXRD pattern in this record (Cu Kα, 1.54184 Å).
Kinematic intensities with the Lorentz-polarization factor, no thermal factor.

Cell lengths 9.542, 7.109, 5.099 Å; angles 90.00, 106.41, 90.00 degrees
Space group C2/m (No. 12)
Unique sites:
Nb 0.097 0.209 0.302
Nb 0.198 0.000 0.848
Ru 0.000 0.500 0.000
Ru 0.150 0.500 0.634
N 0.000 0.000 0.500

Peak list (10 most intense, 5° ≤ 2θ ≤ 70°, in order of rising 2θ)
d_spacing	I (rel.)
2.640	84
2.399	86
2.342	92
2.294	37
2.271	100
2.199	73
2.025	65
1.859	31
1.777	31
1.415	35